1.
Theoretical X-ray diffraction stick pattern
Compound: Tl5Cd4
Radiation: Cu Kα (weighted mean of Kα1 and Kα2)
Structure: a crystal structure in Alexandria, relaxed with GGA-PBE
Lines closer than 0.1° are merged.

Principal peaks in the range 10° ≤ 2θ ≤ 80°, sorted by position:
d_spacing, I (rel.)
2.826, 27
2.790, 100
2.635, 93
1.916, 32
1.579, 27
1.370, 22

Structural model:
Lattice parameters (Å, degrees): 9.6657 9.6657 6.2875 90.00 90.00 120.00
Sites, in units of the cell vectors:
Tl (0.0000, 0.2927, 0.2500)
Tl (0.0000, 0.7073, 0.7500)
Tl (0.2927, 0.0000, 0.2500)
Tl (0.2927, 0.2927, 0.7500)
Tl (0.3333, 0.6667, 0.0000)
Tl (0.3333, 0.6667, 0.5000)
Tl (0.6667, 0.3333, 0.0000)
Tl (0.6667, 0.3333, 0.5000)
Tl (0.7073, 0.0000, 0.7500)
Tl (0.7073, 0.7073, 0.2500)
Cd (0.0000, 0.0000, 0.0000)
Cd (0.0000, 0.0000, 0.5000)
Cd (0.0000, 0.3698, 0.7500)
Cd (0.0000, 0.6302, 0.2500)
Cd (0.3698, 0.0000, 0.7500)
Cd (0.3698, 0.3698, 0.2500)
Cd (0.6302, 0.0000, 0.2500)
Cd (0.6302, 0.6302, 0.7500)

=====

2.
Theoretical X-ray diffraction stick pattern
Compound: TlCd3
Radiation: Cu Kα (weighted mean of Kα1 and Kα2)
Structure: a crystal structure in Alexandria, relaxed with GGA-PBE
Lines closer than 0.1° are merged.

Principal peaks in the range 10° ≤ 2θ ≤ 80°, sorted by position:
d_spacing, I (rel.)
2.959, 44
2.646, 69
2.416, 100
1.641, 16
1.582, 54
1.479, 16

Structural model:
Lattice parameters (Å, degrees): 5.9176 5.9176 5.9176 90.00 90.00 90.00
Sites, in units of the cell vectors:
Tl (0.0000, 0.0000, 0.0000)
Tl (0.5000, 0.5000, 0.5000)
Cd (0.0000, 0.2500, 0.5000)
Cd (0.0000, 0.7500, 0.5000)
Cd (0.2500, 0.5000, 0.0000)
Cd (0.5000, 0.0000, 0.2500)
Cd (0.5000, 0.0000, 0.7500)
Cd (0.7500, 0.5000, 0.0000)

=====

3.
Theoretical X-ray diffraction stick pattern
Compound: Tl7Cd3
Radiation: Cu Kα (weighted mean of Kα1 and Kα2)
Structure: a crystal structure in Alexandria, relaxed with GGA-PBE
Lines closer than 0.1° are merged.

Principal peaks in the range 10° ≤ 2θ ≤ 80°, sorted by position:
d_spacing, I (rel.)
2.814, 57
2.741, 100
2.731, 50
2.697, 100
1.960, 38
1.568, 26

Structural model:
Lattice parameters (Å, degrees): 8.4518 8.4518 6.7108 104.57 104.57 38.89
Sites, in units of the cell vectors:
Tl (0.0000, 0.0000, 0.0000)
Tl (0.1992, 0.1992, 0.7686)
Tl (0.3926, 0.3926, 0.5946)
Tl (0.4017, 0.4017, 0.1027)
Tl (0.5983, 0.5983, 0.8973)
Tl (0.6074, 0.6074, 0.4054)
Tl (0.8008, 0.8008, 0.2314)
Cd (0.0000, 0.0000, 0.5000)
Cd (0.1979, 0.1979, 0.2635)
Cd (0.8021, 0.8021, 0.7365)

=====

4.
Theoretical X-ray diffraction stick pattern
Compound: TlCd3
Radiation: Cu Kα (weighted mean of Kα1 and Kα2)
Structure: a crystal structure in Alexandria, relaxed with GGA-PBE
Lines closer than 0.1° are merged.

Principal peaks in the range 10° ≤ 2θ ≤ 80°, sorted by position:
d_spacing, I (rel.)
2.681, 100
2.361, 34
2.249, 15
1.629, 21
1.419, 12
1.415, 13

Structural model:
Lattice parameters (Å, degrees): 3.3316 4.4988 6.6926 90.00 90.00 90.00
Sites, in units of the cell vectors:
Tl (0.0000, 0.0000, 0.0000)
Cd (0.0000, 0.0000, 0.5000)
Cd (0.5000, 0.5000, 0.2706)
Cd (0.5000, 0.5000, 0.7294)

=====

5.
Theoretical X-ray diffraction stick pattern
Compound: Tl3Cd5
Radiation: Cu Kα (weighted mean of Kα1 and Kα2)
Structure: a crystal structure in Alexandria, relaxed with GGA-PBE
Lines closer than 0.1° are merged.

Principal peaks in the range 10° ≤ 2θ ≤ 80°, sorted by position:
d_spacing, I (rel.)
2.921, 23
2.708, 100
2.324, 41
1.770, 11
1.644, 14
1.405, 26

Structural model:
Lattice parameters (Å, degrees): 3.2871 3.2871 19.1084 90.00 90.00 90.00
Sites, in units of the cell vectors:
Tl (0.0000, 0.0000, 0.0000)
Tl (0.5000, 0.5000, 0.1484)
Tl (0.5000, 0.5000, 0.8516)
Cd (0.0000, 0.0000, 0.2763)
Cd (0.0000, 0.0000, 0.5000)
Cd (0.0000, 0.0000, 0.7237)
Cd (0.5000, 0.5000, 0.3882)
Cd (0.5000, 0.5000, 0.6118)

=====

6.
Theoretical X-ray diffraction stick pattern
Compound: TlCd4
Radiation: Cu Kα (weighted mean of Kα1 and Kα2)
Structure: a crystal structure in Alexandria, relaxed with GGA-PBE
Lines closer than 0.1° are merged.

Principal peaks in the range 10° ≤ 2θ ≤ 80°, sorted by position:
d_spacing, I (rel.)
2.665, 100
2.349, 34
2.231, 15
1.618, 21
1.409, 25
1.358, 12

Structural model:
Lattice parameters (Å, degrees): 8.7486 8.7486 8.7486 158.09 150.45 37.09
Sites, in units of the cell vectors:
Tl (0.0000, 0.0000, 0.0000)
Cd (0.2019, 0.2019, 0.0000)
Cd (0.3903, 0.3903, 0.0000)
Cd (0.6097, 0.6097, 0.0000)
Cd (0.7981, 0.7981, 0.0000)